Entry 1:
The following is a theoretical X-ray diffraction stick pattern of AcSm2DyY5. It was derived from a DFT-relaxed cell (GGA-PBE, Alexandria), using Cu Kα, 1.54184 Å.
Kinematic intensities with the Lorentz-polarization factor, no thermal factor.

Main lines, sorted by position (15° ≤ 2θ ≤ 90°):
two_theta	I/Imax
28.30	39.0
28.63	49.7
30.43	100.0
34.11	16.4
37.20	18.9
42.61	28.4
46.07	17.6
51.85	24.4

Cell and atoms:
```
AcSm2DyY5
1.0
-4.4089 4.4089 7.8803
4.4089 -4.4089 7.8803
4.4089 4.4089 -7.8803
Ac Sm Dy Y
2 4 2 10
direct
0.2500 0.7500 0.5000
0.7500 0.2500 0.5000
0.1150 0.6150 0.7300
0.3850 0.1150 0.5000
0.6150 0.8850 0.5000
0.8850 0.3850 0.2700
0.2500 0.2500 0.0000
0.7500 0.7500 0.0000
0.0000 0.0000 0.0000
0.0780 0.1566 0.5000
0.1566 0.6566 0.0786
0.3434 0.4220 0.5000
0.4220 0.9220 0.0786
0.5000 0.5000 0.0000
0.5780 0.0780 0.9214
0.6566 0.5780 0.5000
0.8434 0.3434 0.9214
0.9220 0.8434 0.5000
```

Entry 2:
The following is a theoretical X-ray diffraction stick pattern of NaSeBrO2. It was derived from a DFT-relaxed cell (GGA-PBE, Alexandria), using Cu Kα, 1.54184 Å.
Kinematic intensities with the Lorentz-polarization factor, no thermal factor.

Main lines, sorted by position (15° ≤ 2θ ≤ 90°):
two_theta	I/Imax
20.63	71.1
27.54	100.0
30.32	41.1
31.04	49.7
33.15	75.6
36.15	41.9
44.80	33.1
63.13	24.9

Cell and atoms:
```
NaSeBrO2
1.0
6.4642 0.0000 0.0000
0.0000 4.0455 0.0000
-1.6845 0.0000 7.2761
Na Se Br O
2 2 2 4
direct
0.2189 0.2500 0.4576
0.7811 0.7500 0.5424
0.1263 0.2500 0.8955
0.8737 0.7500 0.1045
0.4370 0.7500 0.7345
0.5630 0.2500 0.2655
0.0268 0.7500 0.3159
0.0703 0.7500 0.9539
0.9297 0.2500 0.0461
0.9732 0.2500 0.6841
```